For Ho2InAg, a cell relaxed with PBE gives the theoretical X-ray powder pattern in this record (Cu Kα).

Most intense lines, 10° ≤ 2θ ≤ 90°, by angle:
| 2θ (°) | d (Å) | I/Imax |
| --- | --- | --- |
| 24.1 | 3.689 | 2 |
| 34.3 | 2.613 | 100 |
| 49.2 | 1.853 | 6 |
| 49.4 | 1.845 | 12 |
| 61.4 | 1.511 | 12 |
| 61.5 | 1.507 | 24 |
| 72.3 | 1.307 | 7 |
| 72.5 | 1.304 | 4 |
| 82.3 | 1.171 | 5 |
| 82.7 | 1.167 | 11 |

Atomic structure:
```
data_Ho2InAg
_space_group_name_H-M_alt 'P 1'
_space_group_IT_number 1
_cell_length_a 3.689
_cell_length_b 3.689
_cell_length_c 7.411
_cell_angle_alpha 90.00
_cell_angle_beta 90.00
_cell_angle_gamma 90.00
loop_
_space_group_symop_operation_xyz
'x,y,z'
loop_
_atom_site_label
_atom_site_type_symbol
_atom_site_fract_x
_atom_site_fract_y
_atom_site_fract_z
Ho1 Ho 0.000 0.000 0.237
Ho2 Ho 0.000 0.000 0.763
In1 In 0.500 0.500 0.500
Ag1 Ag 0.500 0.500 0.000
```



For Sm8MgTi4O20, a cell relaxed with PBE gives the theoretical X-ray powder pattern in this record (Cu Kα).

Most intense lines, 10° ≤ 2θ ≤ 90°, by angle:
| 2θ (°) | d (Å) | I/Imax |
| --- | --- | --- |
| 15.8 | 5.616 | 18 |
| 28.1 | 3.176 | 47 |
| 28.3 | 3.159 | 55 |
| 29.4 | 3.041 | 100 |
| 33.2 | 2.695 | 46 |
| 33.6 | 2.670 | 21 |
| 47.9 | 1.901 | 21 |
| 48.1 | 1.893 | 28 |
| 49.3 | 1.850 | 23 |
| 57.7 | 1.597 | 29 |

Atomic structure:
```
data_Sm8MgTi4O20
_space_group_name_H-M_alt 'P 1'
_space_group_IT_number 1
_cell_length_a 7.869
_cell_length_b 3.700
_cell_length_c 16.019
_cell_angle_alpha 90.00
_cell_angle_beta 90.33
_cell_angle_gamma 90.00
loop_
_space_group_symop_operation_xyz
'x,y,z'
loop_
_atom_site_label
_atom_site_type_symbol
_atom_site_fract_x
_atom_site_fract_y
_atom_site_fract_z
Sm1 Sm 0.000 0.000 0.000
Sm2 Sm 0.025 0.000 0.683
Sm3 Sm 0.252 0.500 0.203
Sm4 Sm 0.305 0.500 0.868
Sm5 Sm 0.479 0.000 0.388
Sm6 Sm 0.531 0.000 0.702
Sm7 Sm 0.805 0.500 0.514
Sm8 Sm 0.833 0.500 0.180
Mg1 Mg 0.565 0.000 0.204
Ti1 Ti 0.288 0.500 0.535
Ti2 Ti 0.499 0.000 0.022
Ti3 Ti 0.792 0.500 0.853
Ti4 Ti 0.988 0.000 0.356
O1 O 0.010 0.500 0.917
O2 O 0.023 0.500 0.398
O3 O 0.051 0.500 0.097
O4 O 0.067 0.500 0.592
O5 O 0.233 0.000 0.296
O6 O 0.261 0.000 0.772
O7 O 0.268 0.000 0.496
O8 O 0.281 0.000 0.957
O9 O 0.373 0.000 0.126
O10 O 0.413 0.500 0.629
O11 O 0.503 0.500 0.462
O12 O 0.533 0.500 0.985
O13 O 0.536 0.500 0.254
O14 O 0.567 0.500 0.794
O15 O 0.718 0.000 0.101
O16 O 0.760 0.000 0.611
O17 O 0.767 0.000 0.893
O18 O 0.776 0.000 0.427
O19 O 0.830 0.000 0.263
O20 O 0.906 0.500 0.755
```



For AlPH9C3Cl3, a cell relaxed with PBE gives the theoretical X-ray powder pattern in this record (Cu Kα).

Most intense lines, 10° ≤ 2θ ≤ 90°, by angle:
| 2θ (°) | d (Å) | I/Imax |
| --- | --- | --- |
| 12.0 | 7.368 | 85 |
| 14.3 | 6.208 | 67 |
| 16.3 | 5.439 | 68 |
| 21.7 | 4.091 | 50 |
| 24.1 | 3.699 | 100 |
| 25.5 | 3.489 | 61 |
| 27.6 | 3.233 | 55 |
| 28.5 | 3.131 | 81 |
| 28.8 | 3.104 | 37 |
| 44.6 | 2.033 | 45 |

Atomic structure:
```
data_AlPH9C3Cl3
_space_group_name_H-M_alt 'P 1'
_space_group_IT_number 1
_cell_length_a 6.775
_cell_length_b 10.878
_cell_length_c 8.040
_cell_angle_alpha 90.00
_cell_angle_beta 113.60
_cell_angle_gamma 90.00
loop_
_space_group_symop_operation_xyz
'x,y,z'
loop_
_atom_site_label
_atom_site_type_symbol
_atom_site_fract_x
_atom_site_fract_y
_atom_site_fract_z
Al1 Al 0.098 0.250 0.075
Al2 Al 0.902 0.750 0.925
P1 P 0.072 0.250 0.764
P2 P 0.928 0.750 0.236
H1 H 0.128 0.032 0.741
H2 H 0.128 0.468 0.741
H3 H 0.181 0.119 0.573
H4 H 0.181 0.381 0.573
H5 H 0.208 0.750 0.540
H6 H 0.288 0.668 0.385
H7 H 0.288 0.832 0.385
H8 H 0.373 0.117 0.804
H9 H 0.373 0.383 0.804
H10 H 0.627 0.617 0.196
H11 H 0.627 0.883 0.196
H12 H 0.712 0.168 0.615
H13 H 0.712 0.332 0.615
H14 H 0.792 0.250 0.460
H15 H 0.819 0.619 0.427
H16 H 0.819 0.881 0.427
H17 H 0.872 0.532 0.259
H18 H 0.872 0.968 0.259
C1 C 0.201 0.116 0.716
C2 C 0.201 0.384 0.716
C3 C 0.205 0.750 0.403
C4 C 0.795 0.250 0.597
C5 C 0.799 0.616 0.284
C6 C 0.799 0.884 0.284
Cl1 Cl 0.220 0.750 0.927
Cl2 Cl 0.271 0.088 0.207
Cl3 Cl 0.271 0.412 0.207
Cl4 Cl 0.729 0.588 0.793
Cl5 Cl 0.729 0.912 0.793
Cl6 Cl 0.780 0.250 0.073
```



For ErAl7Au3, a cell relaxed with PBE gives the theoretical X-ray powder pattern in this record (Cu Kα).

Most intense lines, 10° ≤ 2θ ≤ 90°, by angle:
| 2θ (°) | d (Å) | I/Imax |
| --- | --- | --- |
| 25.3 | 3.521 | 11 |
| 25.4 | 3.506 | 100 |
| 33.8 | 2.655 | 40 |
| 38.6 | 2.334 | 43 |
| 44.6 | 2.030 | 35 |
| 46.7 | 1.944 | 48 |
| 62.2 | 1.493 | 20 |
| 66.5 | 1.405 | 20 |
| 66.7 | 1.402 | 14 |
| 74.0 | 1.281 | 12 |

Atomic structure:
```
data_ErAl7Au3
_space_group_name_H-M_alt 'P 1'
_space_group_IT_number 1
_cell_length_a 8.448
_cell_length_b 8.448
_cell_length_c 8.448
_cell_angle_alpha 57.19
_cell_angle_beta 57.19
_cell_angle_gamma 57.19
loop_
_space_group_symop_operation_xyz
'x,y,z'
loop_
_atom_site_label
_atom_site_type_symbol
_atom_site_fract_x
_atom_site_fract_y
_atom_site_fract_z
Er1 Er 0.000 0.000 0.000
Er2 Er 0.500 0.500 0.500
Al1 Al 0.070 0.853 0.667
Al2 Al 0.147 0.333 0.930
Al3 Al 0.167 0.353 0.570
Al4 Al 0.250 0.250 0.250
Al5 Al 0.333 0.930 0.147
Al6 Al 0.353 0.570 0.167
Al7 Al 0.430 0.833 0.647
Al8 Al 0.570 0.167 0.353
Al9 Al 0.647 0.430 0.833
Al10 Al 0.667 0.070 0.853
Al11 Al 0.750 0.750 0.750
Al12 Al 0.833 0.647 0.430
Al13 Al 0.853 0.667 0.070
Al14 Al 0.930 0.147 0.333
Au1 Au 0.075 0.750 0.425
Au2 Au 0.250 0.575 0.925
Au3 Au 0.425 0.075 0.750
Au4 Au 0.575 0.925 0.250
Au5 Au 0.750 0.425 0.075
Au6 Au 0.925 0.250 0.575
```